Entry 1:
Diffraction record for Pm3ErSb2C. The X-ray diffraction stick pattern is theoretical, not measured: it uses a cell relaxed with GGA-PBE and Cu Kα.
Lines closer than 0.1° are merged.

Structural model:
```
data_Pm3ErSb2C
_chemical_formula_sum 'Pm6 Er2 Sb4 C2'
_cell_length_a 4.7716
_cell_length_b 4.9148
_cell_length_c 16.2532
_cell_angle_alpha 90.00
_cell_angle_beta 90.00
_cell_angle_gamma 90.00
_space_group_name_H-M_alt 'I m m m'
_space_group_IT_number 71
_space_group_name_Hall '-I 2 2'
loop_
_atom_site_label
_atom_site_fract_x
_atom_site_fract_y
_atom_site_fract_z
Pm1 0.0000 0.0000 0.0000
Pm2 0.0000 0.5000 0.1608
Er1 0.0000 0.0000 0.5000
Sb1 0.0000 0.5000 0.3606
C1 0.0000 0.5000 0.0000
```

Most intense lines, 2θ = 10–80°, sorted by position:
(1 1 2), 2θ 28.29, d 3.155, rel. 73; (0 0 6), 2θ 33.06, d 2.709, rel. 34; (1 1 4), 2θ 34.25, d 2.618, rel. 100; (0 2 0), 2θ 36.57, d 2.457, rel. 31; (2 0 0), 2θ 37.70, d 2.386, rel. 28; (2 0 6), 2θ 51.01, d 1.790, rel. 20; (2 2 0), 2θ 53.53, d 1.712, rel. 20; (2 2 6), 2θ 64.37, d 1.447, rel. 33

=====

Entry 2:
Diffraction record for ErTa2ReC4. The X-ray diffraction stick pattern is theoretical, not measured: it uses a cell relaxed with GGA-PBE and Cu Kα.
Lines closer than 0.1° are merged.

Structural model:
```
data_ErTa2ReC4
_chemical_formula_sum 'Er4 Ta8 Re4 C16'
_cell_length_a 3.2217
_cell_length_b 11.2936
_cell_length_c 11.2206
_cell_angle_alpha 90.00
_cell_angle_beta 90.00
_cell_angle_gamma 90.00
_space_group_name_H-M_alt 'C m c m'
_space_group_IT_number 63
_space_group_name_Hall '-C 2c 2'
loop_
_atom_site_label
_atom_site_fract_x
_atom_site_fract_y
_atom_site_fract_z
Er1 0.0000 0.1154 0.2500
Ta1 0.0000 0.3702 0.0344
Re1 0.0000 0.1501 0.7500
C1 0.0000 0.0000 0.0000
C2 0.0000 0.2623 0.6153
C3 0.0000 0.4533 0.2500
```

Most intense lines, 2θ = 10–80°, sorted by position:
(0 4 0), 2θ 31.69, d 2.823, rel. 58; (0 0 4), 2θ 31.90, d 2.805, rel. 49; (1 1 2), 2θ 33.03, d 2.712, rel. 100; (1 1 3), 2θ 37.66, d 2.388, rel. 20; (1 3 2), 2θ 40.20, d 2.243, rel. 90; (0 4 4), 2θ 45.59, d 1.990, rel. 33; (1 5 2), 2θ 52.07, d 1.757, rel. 20; (2 0 4), 2θ 66.98, d 1.397, rel. 30

=====

Entry 3:
Diffraction record for Er7Ru2C11. The X-ray diffraction stick pattern is theoretical, not measured: it uses a cell relaxed with GGA-PBE and Cu Kα.
Lines closer than 0.1° are merged.

Structural model:
```
data_Er7Ru2C11
_chemical_formula_sum 'Er28 Ru8 C44'
_cell_length_a 3.3999
_cell_length_b 16.4772
_cell_length_c 19.7553
_cell_angle_alpha 90.00
_cell_angle_beta 90.00
_cell_angle_gamma 90.00
_space_group_name_H-M_alt 'C m c m'
_space_group_IT_number 63
_space_group_name_Hall '-C 2c 2'
loop_
_atom_site_label
_atom_site_fract_x
_atom_site_fract_y
_atom_site_fract_z
Er1 0.0000 0.0214 0.1271
Er2 0.0000 0.1617 0.5191
Er3 0.0000 0.2212 0.1550
Er4 0.0000 0.3948 0.2500
Ru1 0.0000 0.4217 0.7500
Ru2 0.0000 0.5000 0.0000
C1 0.0000 0.0006 0.7500
C2 0.0000 0.2236 0.7500
C3 0.0000 0.2938 0.5636
C4 0.0000 0.3046 0.7500
C5 0.0000 0.3667 0.1235
C6 0.0000 0.3735 0.5842
C7 0.0000 0.4253 0.0790
```

Most intense lines, 2θ = 10–80°, sorted by position:
(0 0 6), 2θ 27.14, d 3.285, rel. 46; (0 4 4), 2θ 28.22, d 3.162, rel. 100; (1 3 2), 2θ 32.27, d 2.774, rel. 47; (1 1 4), 2θ 32.43, d 2.761, rel. 65; (0 6 2), 2θ 33.88, d 2.646, rel. 51; (1 1 5), 2θ 35.25, d 2.546, rel. 54; (1 3 4), 2θ 36.00, d 2.495, rel. 55; (1 5 0), 2θ 38.03, d 2.366, rel. 69

=====

Entry 4:
Diffraction record for Er8CS3. The X-ray diffraction stick pattern is theoretical, not measured: it uses a cell relaxed with GGA-PBE and Cu Kα.
Lines closer than 0.1° are merged.

Structural model:
```
data_Er8CS3
_chemical_formula_sum 'Er24 C3 S9'
_cell_length_a 7.4719
_cell_length_b 7.4719
_cell_length_c 18.0489
_cell_angle_alpha 90.00
_cell_angle_beta 90.00
_cell_angle_gamma 120.00
_space_group_name_H-M_alt 'R -3 m'
_space_group_IT_number 166
_space_group_name_Hall '-R 3 2"'
loop_
_atom_site_label
_atom_site_fract_x
_atom_site_fract_y
_atom_site_fract_z
Er1 0.0000 0.0000 0.2470
Er2 0.0306 0.5153 0.7492
C1 0.0000 0.0000 0.0000
S1 0.0000 0.5000 0.0000
```

Most intense lines, 2θ = 10–80°, sorted by position:
(2 0 2), 2θ 29.33, d 3.046, rel. 100; (0 0 6), 2θ 29.70, d 3.008, rel. 34; (0 2 4), 2θ 34.10, d 2.629, rel. 96; (2 2 0), 2θ 48.75, d 1.868, rel. 31; (2 0 8), 2θ 49.24, d 1.851, rel. 34; (2 2 6), 2θ 58.13, d 1.587, rel. 27; (0 2 10), 2θ 58.56, d 1.576, rel. 15; (4 0 4), 2θ 60.83, d 1.523, rel. 15

=====

Entry 5:
Diffraction record for Er8Te3C3S. The X-ray diffraction stick pattern is theoretical, not measured: it uses a cell relaxed with GGA-PBE and Cu Kα.
Lines closer than 0.1° are merged.

Structural model:
```
data_Er8Te3C3S
_chemical_formula_sum 'Er24 Te9 C9 S3'
_cell_length_a 7.6323
_cell_length_b 7.6323
_cell_length_c 20.3419
_cell_angle_alpha 90.00
_cell_angle_beta 90.00
_cell_angle_gamma 120.00
_space_group_name_H-M_alt 'R -3 m'
_space_group_IT_number 166
_space_group_name_Hall '-R 3 2"'
loop_
_atom_site_label
_atom_site_fract_x
_atom_site_fract_y
_atom_site_fract_z
Er1 0.0000 0.0000 0.2292
Er2 0.0285 0.5142 0.7667
Te1 0.0000 0.5000 0.0000
C1 0.0000 0.5000 0.5000
S1 0.0000 0.0000 0.5000
```

Most intense lines, 2θ = 10–80°, sorted by position:
(2 0 2), 2θ 28.40, d 3.143, rel. 36; (0 2 4), 2θ 32.31, d 2.771, rel. 100; (2 0 5), 2θ 34.98, d 2.565, rel. 31; (0 0 9), 2θ 39.89, d 2.260, rel. 15; (2 0 8), 2θ 44.98, d 2.015, rel. 24; (2 2 0), 2θ 47.66, d 1.908, rel. 36; (4 0 4), 2θ 58.75, d 1.572, rel. 16; (2 2 9), 2θ 63.84, d 1.458, rel. 20

=====

Entry 6:
Diffraction record for Er8Te3CS3. The X-ray diffraction stick pattern is theoretical, not measured: it uses a cell relaxed with GGA-PBE and Cu Kα.
Lines closer than 0.1° are merged.

Structural model:
```
data_Er8Te3CS3
_chemical_formula_sum 'Er16 Te6 C2 S6'
_cell_length_a 13.6742
_cell_length_b 7.8822
_cell_length_c 8.3088
_cell_angle_alpha 90.00
_cell_angle_beta 123.27
_cell_angle_gamma 90.00
_space_group_name_H-M_alt 'C 1 2/m 1'
_space_group_IT_number 12
loop_
_space_group_symop_operation_xyz
'x,y,z'
'-x,-y,-z'
'-x,y,-z'
'x,-y,z'
'x+1/2,y+1/2,z'
'-x+1/2,-y+1/2,-z'
'-x+1/2,y+1/2,-z'
'x+1/2,-y+1/2,z'
loop_
_atom_site_label
_atom_site_fract_x
_atom_site_fract_y
_atom_site_fract_z
Er1 0.0116 0.2274 0.3070
Er2 0.2158 0.0000 0.6929
Er3 0.2330 0.5000 0.6992
Te1 0.0000 0.0000 0.0000
Te2 0.2500 0.2500 0.0000
C1 0.0000 0.0000 0.5000
S1 0.0000 0.5000 0.5000
S2 0.2500 0.2500 0.5000
```

Most intense lines, 2θ = 10–80°, sorted by position:
(4 0 -2), 2θ 27.48, d 3.246, rel. 30; (2 2 -2), 2θ 31.31, d 2.857, rel. 100; (2 2 1), 2θ 33.93, d 2.642, rel. 28; (0 0 3), 2θ 38.90, d 2.315, rel. 16; (4 0 -4), 2θ 43.70, d 2.071, rel. 23; (0 4 0), 2θ 46.02, d 1.972, rel. 37; (8 0 -4), 2θ 56.72, d 1.623, rel. 17; (6 2 1), 2θ 61.79, d 1.501, rel. 19

=====

Entry 7:
Diffraction record for ErZrCS. The X-ray diffraction stick pattern is theoretical, not measured: it uses a cell relaxed with GGA-PBE and Cu Kα.
Lines closer than 0.1° are merged.

Structural model:
```
data_ErZrCS
_chemical_formula_sum 'Er3 Zr3 C3 S3'
_cell_length_a 3.5097
_cell_length_b 3.5097
_cell_length_c 19.0118
_cell_angle_alpha 90.00
_cell_angle_beta 90.00
_cell_angle_gamma 120.00
_space_group_name_H-M_alt 'R 3 m'
_space_group_IT_number 160
_space_group_name_Hall 'R 3 -2"'
loop_
_atom_site_label
_atom_site_fract_x
_atom_site_fract_y
_atom_site_fract_z
Er1 0.0000 0.0000 0.0000
Zr1 0.0000 0.0000 0.1969
C1 0.0000 0.0000 0.5905
S1 0.0000 0.0000 0.7688
```

Most intense lines, 2θ = 10–80°, sorted by position:
(0 0 3), 2θ 13.97, d 6.337, rel. 28; (0 0 6), 2θ 28.16, d 3.169, rel. 28; (1 0 1), 2θ 29.77, d 3.001, rel. 88; (1 0 4), 2θ 35.04, d 2.561, rel. 72; (0 1 5), 2θ 37.90, d 2.374, rel. 100; (1 1 0), 2θ 52.12, d 1.755, rel. 42; (1 0 10), 2θ 57.15, d 1.612, rel. 24; (1 1 6), 2θ 60.29, d 1.535, rel. 21

=====

Entry 8:
Diffraction record for Er5Sb4C. The X-ray diffraction stick pattern is theoretical, not measured: it uses a cell relaxed with GGA-PBE and Cu Kα.
Lines closer than 0.1° are merged.

Structural model:
```
data_Er5Sb4C
_chemical_formula_sum 'Er10 Sb8 C2'
_cell_length_a 9.3293
_cell_length_b 9.3293
_cell_length_c 6.0806
_cell_angle_alpha 90.00
_cell_angle_beta 90.00
_cell_angle_gamma 90.00
_space_group_name_H-M_alt 'I 4'
_space_group_IT_number 79
loop_
_space_group_symop_operation_xyz
'x,y,z'
'-y,x,z'
'-x,-y,z'
'y,-x,z'
'x+1/2,y+1/2,z+1/2'
'-y+1/2,x+1/2,z+1/2'
'-x+1/2,-y+1/2,z+1/2'
'y+1/2,-x+1/2,z+1/2'
loop_
_atom_site_label
_atom_site_fract_x
_atom_site_fract_y
_atom_site_fract_z
Er1 0.0000 0.0000 0.0000
Er2 0.0941 0.2507 0.4378
Sb1 0.0831 0.3115 0.9346
C1 0.0000 0.0000 0.3920
```

Most intense lines, 2θ = 10–80°, sorted by position:
(2 1 1), 2θ 25.90, d 3.440, rel. 21; (0 0 2), 2θ 29.38, d 3.040, rel. 59; (1 3 0), 2θ 30.30, d 2.950, rel. 100; (3 0 1), 2θ 32.34, d 2.768, rel. 23; (3 2 1), 2θ 37.79, d 2.381, rel. 28; (1 3 2), 2θ 42.70, d 2.117, rel. 79; (4 2 0), 2θ 43.38, d 2.086, rel. 26; (4 2 2), 2θ 53.25, d 1.720, rel. 26

=====

Entry 9:
Diffraction record for Er4SbC2. The X-ray diffraction stick pattern is theoretical, not measured: it uses a cell relaxed with GGA-PBE and Cu Kα.
Lines closer than 0.1° are merged.

Structural model:
```
data_Er4SbC2
_chemical_formula_sum 'Er16 Sb4 C8'
_cell_length_a 3.7741
_cell_length_b 12.2123
_cell_length_c 12.6927
_cell_angle_alpha 90.00
_cell_angle_beta 90.00
_cell_angle_gamma 90.00
_space_group_name_H-M_alt 'C m c m'
_space_group_IT_number 63
_space_group_name_Hall '-C 2c 2'
loop_
_atom_site_label
_atom_site_fract_x
_atom_site_fract_y
_atom_site_fract_z
Er1 0.0000 0.0000 0.0000
Er2 0.0000 0.2606 0.1022
Er3 0.0000 0.4176 0.7500
Sb1 0.0000 0.1103 0.7500
C1 0.0000 0.3640 0.5586
```

Most intense lines, 2θ = 10–80°, sorted by position:
(1 1 2), 2θ 28.47, d 3.135, rel. 19; (0 2 4), 2θ 31.78, d 2.816, rel. 53; (1 1 3), 2θ 32.60, d 2.747, rel. 100; (1 3 1), 2θ 33.13, d 2.704, rel. 71; (1 3 2), 2θ 35.38, d 2.537, rel. 18; (2 0 0), 2θ 48.22, d 1.887, rel. 18; (2 2 4), 2θ 58.92, d 1.568, rel. 19; (1 3 7), 2θ 61.10, d 1.517, rel. 19

=====

Entry 10:
Diffraction record for ErTm3Sb2C. The X-ray diffraction stick pattern is theoretical, not measured: it uses a cell relaxed with GGA-PBE and Cu Kα.
Lines closer than 0.1° are merged.

Structural model:
```
data_ErTm3Sb2C
_chemical_formula_sum 'Er2 Tm6 Sb4 C2'
_cell_length_a 4.7161
_cell_length_b 4.7382
_cell_length_c 15.5183
_cell_angle_alpha 90.00
_cell_angle_beta 90.00
_cell_angle_gamma 90.00
_space_group_name_H-M_alt 'I m m m'
_space_group_IT_number 71
_space_group_name_Hall '-I 2 2'
loop_
_atom_site_label
_atom_site_fract_x
_atom_site_fract_y
_atom_site_fract_z
Er1 0.0000 0.0000 0.0000
Tm1 0.0000 0.0000 0.5000
Tm2 0.0000 0.5000 0.1562
Sb1 0.0000 0.5000 0.3569
C1 0.0000 0.5000 0.0000
```

Most intense lines, 2θ = 10–80°, sorted by position:
(1 1 2), 2θ 29.09, d 3.070, rel. 71; (0 0 6), 2θ 34.68, d 2.586, rel. 28; (1 1 4), 2θ 35.45, d 2.532, rel. 100; (0 2 0), 2θ 37.98, d 2.369, rel. 29; (2 0 0), 2θ 38.17, d 2.358, rel. 29; (0 2 6), 2θ 52.37, d 1.747, rel. 18; (2 2 0), 2θ 54.94, d 1.671, rel. 20; (1 1 10), 2θ 66.42, d 1.408, rel. 20

=====

Entry 11:
Diffraction record for Y3ErSb2C. The X-ray diffraction stick pattern is theoretical, not measured: it uses a cell relaxed with GGA-PBE and Cu Kα.
Lines closer than 0.1° are merged.

Structural model:
```
data_Y3ErSb2C
_chemical_formula_sum 'Y6 Er2 Sb4 C2'
_cell_length_a 4.7488
_cell_length_b 4.7858
_cell_length_c 15.7787
_cell_angle_alpha 90.00
_cell_angle_beta 90.00
_cell_angle_gamma 90.00
_space_group_name_H-M_alt 'I m m m'
_space_group_IT_number 71
_space_group_name_Hall '-I 2 2'
loop_
_atom_site_label
_atom_site_fract_x
_atom_site_fract_y
_atom_site_fract_z
Y1 0.0000 0.0000 0.0000
Y2 0.0000 0.5000 0.1584
Er1 0.0000 0.0000 0.5000
Sb1 0.0000 0.5000 0.3583
C1 0.0000 0.5000 0.0000
```

Most intense lines, 2θ = 10–80°, sorted by position:
(0 0 2), 2θ 11.22, d 7.889, rel. 22; (1 1 2), 2θ 28.80, d 3.100, rel. 66; (0 0 6), 2θ 34.08, d 2.631, rel. 33; (1 1 4), 2θ 35.01, d 2.563, rel. 100; (0 2 0), 2θ 37.59, d 2.393, rel. 28; (2 0 0), 2θ 37.89, d 2.374, rel. 28; (2 0 6), 2θ 51.87, d 1.763, rel. 19; (2 2 0), 2θ 54.44, d 1.685, rel. 19

=====

Entry 12:
Diffraction record for Er2Sc2C3. The X-ray diffraction stick pattern is theoretical, not measured: it uses a cell relaxed with GGA-PBE and Cu Kα.
Lines closer than 0.1° are merged.

Structural model:
```
data_Er2Sc2C3
_chemical_formula_sum 'Er4 Sc4 C6'
_cell_length_a 11.8182
_cell_length_b 3.5335
_cell_length_c 6.0307
_cell_angle_alpha 90.00
_cell_angle_beta 106.25
_cell_angle_gamma 90.00
_space_group_name_H-M_alt 'C 1 2/m 1'
_space_group_IT_number 12
loop_
_space_group_symop_operation_xyz
'x,y,z'
'-x,-y,-z'
'-x,y,-z'
'x,-y,z'
'x+1/2,y+1/2,z'
'-x+1/2,-y+1/2,-z'
'-x+1/2,y+1/2,-z'
'x+1/2,-y+1/2,z'
loop_
_atom_site_label
_atom_site_fract_x
_atom_site_fract_y
_atom_site_fract_z
Er1 0.1208 0.0000 0.3764
Sc1 0.1558 0.5000 0.8409
C1 0.0000 0.5000 0.5000
C2 0.2386 0.5000 0.2334
```

Most intense lines, 2θ = 10–80°, sorted by position:
(0 0 1), 2θ 15.30, d 5.790, rel. 73; (1 1 0), 2θ 26.42, d 3.374, rel. 33; (2 0 -2), 2θ 30.49, d 2.932, rel. 48; (4 0 0), 2θ 31.54, d 2.836, rel. 44; (1 1 1), 2θ 31.79, d 2.815, rel. 100; (3 1 -1), 2θ 35.25, d 2.546, rel. 91; (2 0 2), 2θ 38.67, d 2.328, rel. 39; (1 1 -3), 2θ 52.64, d 1.739, rel. 27

=====

Entry 13:
Diffraction record for Er3ScSn2C. The X-ray diffraction stick pattern is theoretical, not measured: it uses a cell relaxed with GGA-PBE and Cu Kα.
Lines closer than 0.1° are merged.

Structural model:
```
data_Er3ScSn2C
_chemical_formula_sum 'Er6 Sc2 Sn4 C2'
_cell_length_a 4.5488
_cell_length_b 4.7200
_cell_length_c 15.7469
_cell_angle_alpha 90.00
_cell_angle_beta 90.00
_cell_angle_gamma 90.00
_space_group_name_H-M_alt 'I m m m'
_space_group_IT_number 71
_space_group_name_Hall '-I 2 2'
loop_
_atom_site_label
_atom_site_fract_x
_atom_site_fract_y
_atom_site_fract_z
Er1 0.0000 0.0000 0.0000
Er2 0.0000 0.5000 0.1579
Sc1 0.0000 0.0000 0.5000
Sn1 0.0000 0.5000 0.3602
C1 0.0000 0.5000 0.0000
```

Most intense lines, 2θ = 10–80°, sorted by position:
(1 1 0), 2θ 27.23, d 3.275, rel. 33; (1 1 2), 2θ 29.54, d 3.024, rel. 55; (0 0 6), 2θ 34.16, d 2.624, rel. 29; (1 1 4), 2θ 35.66, d 2.518, rel. 100; (0 2 0), 2θ 38.13, d 2.360, rel. 31; (2 0 0), 2θ 39.63, d 2.274, rel. 28; (1 1 10), 2θ 65.80, d 1.419, rel. 25; (2 2 6), 2θ 67.36, d 1.390, rel. 32